# KNiHg
Simulated PXRD pattern, a wavelength of 1.5418 Å. Input: DFT lattice parameters and positions (GGA-PBE).

The 10 most intense peaks (2θ from 5° to 70°), by angle:
| 2θ (°) | intensity |
| --- | --- |
| 14.90 | 100 |
| 22.73 | 28 |
| 29.50 | 15 |
| 30.06 | 33 |
| 31.24 | 25 |
| 35.96 | 48 |
| 36.58 | 16 |
| 39.12 | 40 |
| 43.71 | 14 |
| 47.55 | 37 |

Structural model:
a b c (Å): 3.131 4.142 11.889
angles (deg): 90.00 90.00 90.00
Space group Imm2 (No. 44)
Inequivalent atoms, fractional coordinates:
1 K 0.000 0.000 0.000 (multiplicity 2)
2 Ni 0.000 0.000 0.263 (multiplicity 2)
3 Hg 0.000 0.000 0.727 (multiplicity 2)